(1)
The following is a calculated X-ray powder pattern of Er4PuSc. It was derived from a DFT-relaxed cell (PBE, Alexandria), using CuKα.
Kinematic intensities with the Lorentz-polarization factor, no thermal factor.

Crystal structure
Unit cell a=3.4563 b=17.8974 c=11.1249 alpha=90.00 beta=90.00 gamma=90.00
Space group Cmc2_1 (No. 36)
Inequivalent atoms, fractional coordinates:
Er1 0.0000 0.9995 0.0000 (multiplicity 4)
Er2 0.0000 0.1150 0.2529 (multiplicity 4)
Er3 0.0000 0.3298 0.4942 (multiplicity 4)
Er4 0.0000 0.4417 0.2478 (multiplicity 4)
Pu1 0.0000 0.3320 0.0022 (multiplicity 4)
Sc1 0.0000 0.2221 0.7453 (multiplicity 4)

Peak list (12 most intense, 10 to 90 degrees two-theta, low angle first)
| two_theta | I (rel.) | (hkl) |
| --- | --- | --- |
| 29.90 | 176 | 0 6 0 |
| 30.96 | 159 | 1 3 1 |
| 31.04 | 81 | 0 6 1 |
| 32.18 | 302 | 0 0 4 |
| 34.06 | 1000 | 1 3 2 |
| 38.70 | 131 | 1 3 3 |
| 44.50 | 121 | 0 6 4 |
| 53.14 | 146 | 1 9 0 |
| 58.58 | 144 | 1 3 6 |
| 63.36 | 87 | 2 0 4 |
| 63.50 | 170 | 1 9 4 |
| 64.53 | 104 | 2 6 2 |



(2)
The following is a calculated X-ray powder pattern of Er6PuSc2. It was derived from a DFT-relaxed cell (PBE, Alexandria), using CuKα.
Kinematic intensities with the Lorentz-polarization factor, no thermal factor.

Crystal structure
Unit cell a=5.4781 b=9.4799 c=9.9030 alpha=90.00 beta=90.08 gamma=90.00
Space group C2/m (No. 12)
Inequivalent atoms, fractional coordinates:
Er1 0.0001 0.0000 0.1677 (multiplicity 4)
Er2 0.0004 0.3334 0.3283 (multiplicity 8)
Pu1 0.0000 0.0000 0.5000 (multiplicity 2)
Sc1 0.0000 0.3334 0.0000 (multiplicity 4)

Peak list (12 most intense, 10 to 90 degrees two-theta, low angle first)
| two_theta | I (rel.) | (hkl) |
| --- | --- | --- |
| 18.71 | 77 | 0 2 0 |
| 26.02 | 83 | 1 1 -2 |
| 32.71 | 1000 | 2 0 0 |
| 33.06 | 989 | 1 1 3 |
| 33.97 | 89 | 2 0 1 |
| 47.20 | 369 | 2 2 3 |
| 58.38 | 192 | 3 3 0 |
| 58.61 | 388 | 3 1 3 |
| 66.10 | 260 | 2 0 6 |
| 68.55 | 119 | 4 0 0 |
| 78.23 | 112 | 4 2 3 |
| 84.93 | 88 | 0 6 6 |



(3)
The following is a calculated X-ray powder pattern of Er3Pu2Sc9. It was derived from a DFT-relaxed cell (PBE, Alexandria), using CuKα.
Kinematic intensities with the Lorentz-polarization factor, no thermal factor.

Crystal structure
Unit cell a=12.5667 b=12.5667 c=15.8418 alpha=90.00 beta=90.00 gamma=120.00
Space group R-3c (No. 167, hexagonal axes)
Inequivalent atoms, fractional coordinates:
Er1 0.0000 0.3644 0.2500 (multiplicity 18)
Pu1 0.0000 0.0000 0.0778 (multiplicity 12)
Sc1 0.0000 0.1509 0.7500 (multiplicity 18)
Sc2 0.0254 0.2167 0.4099 (multiplicity 36)

Peak list (12 most intense, 10 to 90 degrees two-theta, low angle first)
| two_theta | I (rel.) | (hkl) |
| --- | --- | --- |
| 13.83 | 384 | 0 1 2 |
| 14.10 | 301 | 1 1 0 |
| 21.99 | 269 | 1 1 3 |
| 24.54 | 1000 | 3 0 0 |
| 31.72 | 358 | 3 1 2 |
| 33.18 | 606 | 2 2 3 |
| 33.95 | 406 | 0 0 6 |
| 37.88 | 160 | 4 1 0 |
| 42.34 | 481 | 3 0 6 |
| 43.19 | 158 | 3 3 0 |
| 50.31 | 220 | 6 0 0 |
| 62.08 | 208 | 6 0 6 |



(4)
The following is a calculated X-ray powder pattern of Er3Pu2ScSe6. It was derived from a DFT-relaxed cell (PBE, Alexandria), using CuKα.
Kinematic intensities with the Lorentz-polarization factor, no thermal factor.

Crystal structure
Unit cell a=17.6474 b=4.0320 c=8.1295 alpha=90.00 beta=103.60 gamma=90.00
Space group C2/m (No. 12)
Inequivalent atoms, fractional coordinates:
Er1 0.0000 0.0000 0.0000 (multiplicity 2)
Er2 0.1693 0.5000 0.3346 (multiplicity 4)
Pu1 0.1648 0.5000 0.8314 (multiplicity 4)
Sc1 0.0000 0.0000 0.5000 (multiplicity 2)
Se1 0.0039 0.5000 0.2589 (multiplicity 4)
Se2 0.1627 0.0000 0.5752 (multiplicity 4)
Se3 0.1653 0.0000 0.0876 (multiplicity 4)

Peak list (12 most intense, 10 to 90 degrees two-theta, low angle first)
| two_theta | I (rel.) | (hkl) |
| --- | --- | --- |
| 27.03 | 181 | 2 0 2 |
| 31.26 | 1000 | 1 1 -2 |
| 44.58 | 125 | 2 0 -4 |
| 44.72 | 249 | 7 1 -2 |
| 44.91 | 367 | 0 2 0 |
| 53.18 | 71 | 8 0 2 |
| 55.34 | 70 | 8 0 -4 |
| 55.80 | 129 | 6 2 0 |
| 65.21 | 120 | 2 2 -4 |
| 73.99 | 111 | 8 2 -4 |
| 74.23 | 108 | 4 2 4 |
| 82.77 | 104 | 7 3 -2 |



(5)
The following is a calculated X-ray powder pattern of Er2TmPuSc4. It was derived from a DFT-relaxed cell (PBE, Alexandria), using CuKα.
Kinematic intensities with the Lorentz-polarization factor, no thermal factor.

Crystal structure
Unit cell a=6.8067 b=9.1991 c=6.7920 alpha=90.00 beta=90.00 gamma=90.00
Space group Cmmm (No. 65)
Inequivalent atoms, fractional coordinates:
Er1 0.0000 0.0000 0.0000 (multiplicity 2)
Er2 0.0000 0.5000 0.5000 (multiplicity 2)
Tm1 0.0000 0.0000 0.5000 (multiplicity 2)
Pu1 0.0000 0.5000 0.0000 (multiplicity 2)
Sc1 0.2500 0.2500 0.2431 (multiplicity 8)

Peak list (12 most intense, 10 to 90 degrees two-theta, low angle first)
| two_theta | I (rel.) | (hkl) |
| --- | --- | --- |
| 19.30 | 324 | 0 2 0 |
| 26.21 | 318 | 0 0 2 |
| 32.76 | 1000 | 2 2 0 |
| 37.41 | 348 | 2 0 2 |
| 39.17 | 153 | 0 4 0 |
| 42.43 | 186 | 2 2 2 |
| 47.75 | 134 | 0 4 2 |
| 53.88 | 60 | 4 0 0 |
| 55.28 | 223 | 2 4 2 |
| 60.94 | 67 | 2 0 4 |
| 64.56 | 278 | 4 2 2 |
| 66.95 | 127 | 2 6 0 |



(6)
The following is a calculated X-ray powder pattern of Er6PuSe8. It was derived from a DFT-relaxed cell (PBE, Alexandria), using CuKα.
Kinematic intensities with the Lorentz-polarization factor, no thermal factor.

Crystal structure
Unit cell a=11.4070 b=11.4070 c=11.4070 alpha=90.00 beta=90.00 gamma=90.00
Space group Fm-3m (No. 225)
Inequivalent atoms, fractional coordinates:
Er1 0.0000 0.2500 0.2500 (multiplicity 24)
Pu1 0.0000 0.0000 0.0000 (multiplicity 4)
Se1 0.0000 0.0000 0.2581 (multiplicity 24)
Se2 0.2500 0.2500 0.2500 (multiplicity 8)

Peak list (12 most intense, 10 to 90 degrees two-theta, low angle first)
| two_theta | I (rel.) | (hkl) |
| --- | --- | --- |
| 13.44 | 120 | 1 1 1 |
| 25.91 | 108 | 3 1 1 |
| 27.08 | 190 | 2 2 2 |
| 31.37 | 1000 | 4 0 0 |
| 34.27 | 69 | 3 3 1 |
| 44.95 | 739 | 4 4 0 |
| 53.27 | 98 | 6 2 2 |
| 55.84 | 259 | 4 4 4 |
| 65.46 | 120 | 8 0 0 |
| 72.20 | 41 | 6 6 2 |
| 74.38 | 330 | 8 4 0 |
| 82.93 | 250 | 8 4 4 |



(7)
The following is a calculated X-ray powder pattern of Tb3ErPu2Se6. It was derived from a DFT-relaxed cell (PBE, Alexandria), using CuKα.
Kinematic intensities with the Lorentz-polarization factor, no thermal factor.

Crystal structure
Unit cell a=17.8839 b=4.0851 c=8.2310 alpha=90.00 beta=103.46 gamma=90.00
Space group C2/m (No. 12)
Inequivalent atoms, fractional coordinates:
Tb1 0.0000 0.0000 0.0000 (multiplicity 2)
Tb2 0.1682 0.5000 0.3335 (multiplicity 4)
Er1 0.0000 0.0000 0.5000 (multiplicity 2)
Pu1 0.1659 0.5000 0.8332 (multiplicity 4)
Se1 0.0020 0.5000 0.2546 (multiplicity 4)
Se2 0.1647 0.0000 0.5796 (multiplicity 4)
Se3 0.1663 0.0000 0.0848 (multiplicity 4)

Peak list (12 most intense, 10 to 90 degrees two-theta, low angle first)
| two_theta | I (rel.) | (hkl) |
| --- | --- | --- |
| 26.56 | 149 | 2 0 2 |
| 26.70 | 147 | 3 1 0 |
| 30.84 | 1000 | 6 0 0 |
| 44.00 | 126 | 2 0 -4 |
| 44.18 | 498 | 5 1 2 |
| 44.35 | 123 | 0 2 0 |
| 54.62 | 68 | 8 0 -4 |
| 55.00 | 131 | 6 2 0 |
| 64.26 | 123 | 2 2 -4 |
| 72.91 | 114 | 8 2 -4 |
| 73.04 | 113 | 4 2 4 |
| 81.46 | 85 | 7 3 -2 |



(8)
The following is a calculated X-ray powder pattern of Er3PuTh4Se8. It was derived from a DFT-relaxed cell (PBE, Alexandria), using CuKα.
Kinematic intensities with the Lorentz-polarization factor, no thermal factor.

Crystal structure
Unit cell a=8.0735 b=8.0735 c=21.2005 alpha=90.00 beta=90.00 gamma=120.00
Space group R-3m (No. 166, hexagonal axes)
Inequivalent atoms, fractional coordinates:
Er1 0.0000 0.5000 0.0000 (multiplicity 9)
Pu1 0.0000 0.0000 0.0000 (multiplicity 3)
Th1 0.0000 0.0000 0.5000 (multiplicity 3)
Th2 0.0000 0.5000 0.5000 (multiplicity 9)
Se1 0.0000 0.0000 0.2564 (multiplicity 6)
Se2 0.0042 0.5021 0.2555 (multiplicity 18)

Peak list (12 most intense, 10 to 90 degrees two-theta, low angle first)
| two_theta | I (rel.) | (hkl) |
| --- | --- | --- |
| 25.20 | 104 | 0 0 6 |
| 26.85 | 261 | 2 0 2 |
| 30.64 | 1000 | 0 2 4 |
| 42.82 | 397 | 2 0 8 |
| 44.91 | 354 | 2 2 0 |
| 51.74 | 74 | 0 0 12 |
| 52.19 | 94 | 2 2 6 |
| 55.34 | 191 | 4 0 4 |
| 63.79 | 123 | 0 4 8 |
| 70.89 | 176 | 2 2 12 |
| 73.93 | 163 | 2 4 4 |
| 81.38 | 126 | 4 2 8 |